Entry 1:
LiSnTe3: theoretical powder diffractogram (Cu Kα X-rays), based on a cell relaxed with PBE.

```
10
Lattice="1.9080 -12.1107 0.0000 1.9080 12.1107 0.0000 0.0000 0.0000 7.3465" Properties=species:S:1:pos:R:3 pbc="T T T"
Li 1.9080 7.8157 3.6733
Li 1.9080 -7.8157 0.0000
Sn 1.9080 3.0195 3.1376
Sn 1.9080 -3.0195 6.8108
Te 1.9080 10.5886 5.4491
Te 1.9080 5.5278 1.9338
Te 1.9080 2.5199 5.8559
Te 1.9080 -2.5199 2.1827
Te 1.9080 -5.5278 5.6071
Te 1.9080 -10.5886 1.7759
```

Main lines, low angle first (2θ = 10–90°):
2θ/deg, I_rel
14.1, 23
22.0, 35
24.2, 43
25.2, 38
25.8, 35
28.6, 100
33.0, 24
41.0, 39
43.2, 23
45.4, 49

---

Entry 2:
LiTlSnTe3: theoretical powder diffractogram (Cu Kα X-rays), based on a cell relaxed with PBE.

```
12
Lattice="9.2844 0.0000 0.0000 0.0000 4.4337 0.0000 -2.8687 0.0000 9.3673" Properties=species:S:1:pos:R:3 pbc="T T T"
Li 0.4698 1.1084 0.8409
Li 5.9459 3.3253 8.5264
Tl -0.1881 1.1084 7.1219
Tl 6.6037 3.3253 2.2454
Sn 1.8933 3.3253 3.3008
Sn 4.5223 1.1084 6.0665
Te -0.1250 1.1084 3.5667
Te 2.0523 3.3253 0.4013
Te 2.3392 3.3253 6.1822
Te 4.0764 1.1084 3.1851
Te 4.3633 1.1084 8.9660
Te 6.5406 3.3253 5.8006
```

Main lines, low angle first (2θ = 10–90°):
2θ/deg, I_rel
20.0, 20
28.1, 100
28.5, 32
28.6, 18
31.4, 18
33.1, 22
34.1, 19
38.9, 18
40.7, 29
45.6, 25

---

Entry 3:
LiTh4Sn8: theoretical powder diffractogram (Cu Kα X-rays), based on a cell relaxed with PBE.

```
13
Lattice="4.4563 0.0000 0.0000 0.0000 4.5337 0.0000 0.0000 0.0000 17.4489" Properties=species:S:1:pos:R:3 pbc="T T T"
Li 0.0000 0.0000 0.0000
Th 0.0000 0.0000 13.6069
Th 0.0000 2.2669 5.0933
Th 2.2282 0.0000 10.1187
Th 2.2282 2.2669 1.3870
Sn 0.0000 0.0000 2.5032
Sn 0.0000 0.0000 7.6070
Sn 0.0000 2.2669 10.7865
Sn 0.0000 2.2669 16.0796
Sn 2.2282 0.0000 4.4924
Sn 2.2282 0.0000 16.0644
Sn 2.2282 2.2669 7.6113
Sn 2.2282 2.2669 12.8807
```

Main lines, low angle first (2θ = 10–90°):
2θ/deg, I_rel
22.4, 11
30.7, 17
32.1, 100
32.4, 9
36.9, 11
39.8, 17
40.5, 16
58.0, 11
67.4, 13
68.4, 12

---

Entry 4:
LiTh2Sn3: theoretical powder diffractogram (Cu Kα X-rays), based on a cell relaxed with PBE.

```
12
Lattice="6.8912 -4.4338 0.0000 6.8912 4.4338 0.0000 0.0000 0.0000 5.6984" Properties=species:S:1:pos:R:3 pbc="T T T"
Li 6.8912 3.9457 4.2738
Li 6.8912 -3.9457 1.4246
Th 5.0343 1.5590 1.4246
Th 8.7481 1.5590 1.4246
Th 5.0343 -1.5590 4.2738
Th 8.7481 -1.5590 4.2738
Sn 2.5098 0.0000 0.0000
Sn 2.5098 0.0000 2.8492
Sn 6.8912 1.1945 4.2738
Sn 6.8912 -1.1945 1.4246
Sn 11.2727 0.0000 0.0000
Sn 11.2727 0.0000 2.8492
```

Main lines, low angle first (2θ = 10–90°):
2θ/deg, I_rel
11.9, 20
19.6, 35
26.9, 100
30.9, 48
33.7, 30
36.1, 32
36.6, 55
37.5, 32
38.5, 23
51.6, 20

---

Entry 5:
Li2Tm2ThSn2: theoretical powder diffractogram (Cu Kα X-rays), based on a cell relaxed with PBE.

```
7
Lattice="2.4014 1.3865 8.7783 -2.4014 1.3865 8.7783 0.0000 -2.7729 8.7783" Properties=species:S:1:pos:R:3 pbc="T T T"
Li 0.0000 0.0000 2.3116
Li 0.0000 0.0000 24.0232
Tm 0.0000 0.0000 9.7388
Tm 0.0000 0.0000 16.5960
Th 0.0000 0.0000 13.1674
Sn 0.0000 0.0000 6.3205
Sn 0.0000 0.0000 20.0143
```

Main lines, low angle first (2θ = 10–90°):
2θ/deg, I_rel
21.6, 100
32.1, 79
34.8, 96
37.5, 90
43.7, 17
50.1, 23
52.0, 41
64.2, 23
65.9, 61
67.6, 16

---

Entry 6:
Li9Ti4Sn11: theoretical powder diffractogram (Cu Kα X-rays), based on a cell relaxed with PBE.

```
24
Lattice="7.3600 -11.0546 0.0000 7.3600 11.0546 0.0000 0.0000 0.0000 3.0601" Properties=species:S:1:pos:R:3 pbc="T T T"
Li 0.0000 0.0000 0.0000
Li 5.8915 5.7123 0.0000
Li 5.2726 1.4983 0.0000
Li 8.8286 5.7123 0.0000
Li 5.2726 -1.4983 0.0000
Li 9.4475 1.4983 0.0000
Li 5.8915 -5.7123 0.0000
Li 9.4475 -1.4983 0.0000
Li 8.8286 -5.7123 0.0000
Ti 2.3204 2.3405 0.0000
Ti 2.3204 -2.3405 0.0000
Ti 12.3997 2.3405 0.0000
Ti 12.3997 -2.3405 0.0000
Sn 4.1035 4.0100 1.5301
Sn 7.3600 8.0025 1.5301
Sn 2.8774 0.0000 1.5301
Sn 7.3600 3.3354 1.5301
Sn 4.1035 -4.0100 1.5301
Sn 7.3600 0.0000 1.5301
Sn 10.6166 4.0100 1.5301
Sn 7.3600 -3.3354 1.5301
Sn 11.8427 0.0000 1.5301
Sn 7.3600 -8.0025 1.5301
Sn 10.6166 -4.0100 1.5301
```

Main lines, low angle first (2θ = 10–90°):
2θ/deg, I_rel
18.5, 24
20.1, 19
21.8, 29
24.2, 88
29.2, 44
34.4, 38
35.7, 20
36.7, 44
38.2, 100
45.8, 19

---

Entry 7:
Li2Tl3Sn6: theoretical powder diffractogram (Cu Kα X-rays), based on a cell relaxed with PBE.

```
22
Lattice="-5.3929 5.3929 5.3929 5.3929 -5.3929 5.3929 5.3929 5.3929 -5.3929" Properties=species:S:1:pos:R:3 pbc="T T T"
Li 2.6964 2.6964 -2.6964
Li 2.6964 -2.6964 2.6964
Li -2.6964 2.6964 2.6964
Li 2.6964 2.6964 2.6964
Tl 2.7358 0.0000 0.0000
Tl 8.0500 0.0000 0.0000
Tl 0.0000 2.7358 0.0000
Tl 0.0000 0.0000 2.7358
Tl 0.0000 8.0500 0.0000
Tl 0.0000 0.0000 8.0500
Sn 5.3929 1.7046 -1.7046
Sn 5.3929 -1.7046 1.7046
Sn 5.3929 1.7046 1.7046
Sn 1.7046 5.3929 -1.7046
Sn 3.6883 3.6883 0.0000
Sn 1.7046 -1.7046 5.3929
Sn 3.6883 0.0000 3.6883
Sn -1.7046 5.3929 1.7046
Sn 1.7046 5.3929 1.7046
Sn -1.7046 1.7046 5.3929
Sn 1.7046 1.7046 5.3929
Sn 0.0000 3.6883 3.6883
```

Main lines, low angle first (2θ = 10–90°):
2θ/deg, I_rel
16.4, 14
23.3, 26
28.7, 21
31.0, 58
35.3, 100
50.8, 22
52.3, 20
56.6, 23
71.0, 16
85.4, 16

---

Entry 8:
LiTlSn: theoretical powder diffractogram (Cu Kα X-rays), based on a cell relaxed with PBE.

```
6
Lattice="4.3847 -3.8614 0.0000 4.3847 3.8614 0.0000 -4.2925 0.0000 4.4113" Properties=species:S:1:pos:R:3 pbc="T T T"
Li 0.0000 0.0000 0.0000
Li -2.1463 0.0000 2.2057
Tl 1.1653 1.0263 3.3085
Tl 3.3116 -1.0263 1.1028
Sn 2.1924 1.9307 0.0000
Sn 0.0461 -1.9307 2.2057
```

Main lines, low angle first (2θ = 10–90°):
2θ/deg, I_rel
18.2, 74
23.0, 24
29.0, 74
30.8, 100
34.0, 72
34.2, 71
37.8, 20
37.9, 43
54.6, 19
55.9, 24

---

Entry 9:
LiTl2Sn2: theoretical powder diffractogram (Cu Kα X-rays), based on a cell relaxed with PBE.

```
5
Lattice="11.0143 -1.7502 0.0000 11.0143 1.7502 0.0000 -0.5295 0.0000 3.4604" Properties=species:S:1:pos:R:3 pbc="T T T"
Li 0.0000 0.0000 0.0000
Tl 3.9826 0.0000 0.6235
Tl 17.5166 0.0000 2.8369
Sn 9.0666 0.0000 1.4640
Sn 12.4325 0.0000 1.9963
```

Main lines, low angle first (2θ = 10–90°):
2θ/deg, I_rel
28.3, 75
28.4, 24
32.7, 32
32.9, 100
33.0, 33
36.3, 70
49.6, 22
49.9, 22
52.3, 25
63.2, 22

---

Entry 10:
Li2TlSn2: theoretical powder diffractogram (Cu Kα X-rays), based on a cell relaxed with PBE.

```
10
Lattice="2.7611 -6.4984 0.0000 2.7611 6.4984 0.0000 -0.0523 0.0000 6.5693" Properties=species:S:1:pos:R:3 pbc="T T T"
Li 2.7219 6.4891 4.9270
Li 2.7219 1.6818 4.9270
Li 2.7480 -1.6818 1.6423
Li 2.7480 -6.4891 1.6423
Tl 2.7480 1.2091 1.6423
Tl 2.7219 -1.2091 4.9270
Sn 2.7495 4.0476 0.0597
Sn 2.7465 4.0476 3.2250
Sn 2.7233 -4.0476 3.3443
Sn 2.7204 -4.0476 6.5096
```

Main lines, low angle first (2θ = 10–90°):
2θ/deg, I_rel
19.2, 60
26.1, 32
29.5, 26
29.6, 27
30.5, 46
32.4, 100
32.6, 38
37.9, 38
38.1, 39
38.3, 71

---

Entry 11:
Li2TlSn4: theoretical powder diffractogram (Cu Kα X-rays), based on a cell relaxed with PBE.

```
7
Lattice="0.0000 4.9264 5.4763 3.2697 0.0000 5.4763 3.2697 4.9264 0.0000" Properties=species:S:1:pos:R:3 pbc="T T T"
Li 3.2697 4.9264 2.4438
Li 3.2697 4.9264 8.5088
Tl 3.2697 4.9264 5.4763
Sn 3.2697 1.6484 5.4763
Sn 1.6348 2.4632 2.7382
Sn 4.9045 7.3896 8.2145
Sn 3.2697 8.2044 5.4763
```

Main lines, low angle first (2θ = 10–90°):
2θ/deg, I_rel
16.2, 20
24.3, 41
31.6, 87
31.9, 100
32.7, 49
32.9, 22
39.4, 50
51.0, 23
52.1, 21
73.2, 21

---

Entry 12:
Li6TlSn6: theoretical powder diffractogram (Cu Kα X-rays), based on a cell relaxed with PBE.

```
13
Lattice="2.9283 -5.7162 0.0000 2.9283 5.7162 0.0000 0.0000 0.0000 9.4552" Properties=species:S:1:pos:R:3 pbc="T T T"
Li 0.0000 0.0000 1.6357
Li 0.0000 0.0000 7.8195
Li 2.9283 1.8275 4.7276
Li 2.9283 1.7181 0.0000
Li 2.9283 -1.7181 0.0000
Li 2.9283 -1.8275 4.7276
Tl 0.0000 0.0000 4.7276
Sn 1.4642 2.8581 2.3502
Sn 1.4642 2.8581 7.1051
Sn 1.4642 -2.8581 2.3502
Sn 1.4642 -2.8581 7.1051
Sn 2.9283 0.0000 2.3977
Sn 2.9283 0.0000 7.0575
```

Main lines, low angle first (2θ = 10–90°):
2θ/deg, I_rel
18.8, 67
24.4, 50
25.4, 89
31.3, 63
33.9, 50
34.4, 100
38.1, 39
39.5, 47
50.1, 34
52.2, 61

---

Entry 13:
Li2TlSn2: theoretical powder diffractogram (Cu Kα X-rays), based on a cell relaxed with PBE.

```
5
Lattice="4.1431 -2.6084 0.0000 4.1431 2.6084 0.0000 -2.1260 0.0000 5.4438" Properties=species:S:1:pos:R:3 pbc="T T T"
Li 0.2528 0.0000 1.6488
Li 5.9073 0.0000 3.7950
Tl 3.0801 0.0000 2.7219
Sn 0.4976 0.0000 4.7968
Sn 5.6625 0.0000 0.6469
```

Main lines, low angle first (2θ = 10–90°):
2θ/deg, I_rel
20.5, 100
22.9, 50
28.9, 70
32.6, 21
33.0, 62
34.4, 48
35.2, 88
37.0, 77
41.7, 21
48.4, 43